(1)
For Pu3CuPd2, a structure optimized by DFT (PBE) gives the simulated powder X-ray diffraction pattern in this record (Cu Kα).

The 12 most intense peaks (2θ = 15–90°), by intensity:
d/Å, I/Imax
2.520, 100
2.352, 41
1.388, 32
1.492, 20
3.326, 18
1.663, 14
3.861, 13
1.260, 12
1.931, 11
1.200, 10
2.009, 10
1.670, 6

a = 3.326 Å, b = 3.326 Å, c = 11.584 Å
α = 90.00°, β = 90.00°, γ = 90.00°
Sites, in units of the cell vectors:
Pu  0.000  0.000  0.000
Pu  0.000  0.000  0.335
Pu  0.000  0.000  0.665
Cu  0.500  0.500  0.500
Pd  0.500  0.500  0.169
Pd  0.500  0.500  0.831

(2)
For Dy3Co8Sn4, a structure optimized by DFT (PBE) gives the simulated powder X-ray diffraction pattern in this record (Cu Kα).

The 12 most intense peaks (2θ = 15–90°), by intensity:
d/Å, I/Imax
2.676, 100
2.226, 87
2.429, 46
2.713, 39
1.440, 36
2.360, 34
2.294, 26
2.085, 18
3.423, 18
2.114, 17
1.784, 16
1.510, 15

a = 8.904 Å, b = 8.904 Å, c = 7.436 Å
α = 90.00°, β = 90.00°, γ = 120.00°
Sites, in units of the cell vectors:
Dy  0.060  0.530  0.000
Dy  0.470  0.530  0.000
Dy  0.470  0.940  0.000
Dy  0.530  0.060  0.500
Dy  0.530  0.470  0.500
Dy  0.940  0.470  0.500
Co  0.000  0.000  0.278
Co  0.000  0.000  0.778
Co  0.098  0.195  0.023
Co  0.098  0.902  0.023
Co  0.159  0.318  0.331
Co  0.159  0.841  0.331
Co  0.195  0.098  0.523
Co  0.318  0.159  0.831
Co  0.333  0.667  0.716
Co  0.667  0.333  0.216
Co  0.682  0.841  0.331
Co  0.805  0.902  0.023
Co  0.841  0.159  0.831
Co  0.841  0.682  0.831
Co  0.902  0.098  0.523
Co  0.902  0.805  0.523
Sn  0.172  0.343  0.703
Sn  0.172  0.828  0.703
Sn  0.333  0.667  0.336
Sn  0.343  0.172  0.203
Sn  0.657  0.828  0.703
Sn  0.667  0.333  0.836
Sn  0.828  0.172  0.203
Sn  0.828  0.657  0.203

(3)
For Na16TlHg12, a structure optimized by DFT (PBE) gives the simulated powder X-ray diffraction pattern in this record (Cu Kα).

The 12 most intense peaks (2θ = 15–90°), by intensity:
d/Å, I/Imax
4.719, 100
4.778, 96
2.468, 77
4.744, 66
2.753, 64
2.729, 64
2.491, 53
2.284, 48
2.502, 45
2.742, 44
2.278, 32
2.291, 30

a = 10.014 Å, b = 10.014 Å, c = 10.118 Å
α = 109.42°, β = 109.42°, γ = 108.86°
Sites, in units of the cell vectors:
Na  0.000  0.000  0.000
Na  0.004  0.413  0.011
Na  0.005  0.005  0.334
Na  0.006  0.702  0.737
Na  0.009  0.663  0.328
Na  0.285  0.590  0.910
Na  0.304  0.304  0.033
Na  0.328  0.722  0.634
Na  0.347  0.347  0.646
Na  0.413  0.004  0.011
Na  0.424  0.687  0.332
Na  0.590  0.285  0.910
Na  0.663  0.009  0.328
Na  0.687  0.424  0.332
Na  0.702  0.006  0.737
Na  0.722  0.328  0.634
Tl  0.619  0.619  0.629
Hg  0.006  0.203  0.697
Hg  0.008  0.390  0.517
Hg  0.188  0.373  0.312
Hg  0.196  0.806  0.135
Hg  0.203  0.006  0.697
Hg  0.373  0.188  0.312
Hg  0.390  0.008  0.517
Hg  0.625  0.625  0.140
Hg  0.630  0.830  0.964
Hg  0.806  0.196  0.135
Hg  0.822  0.822  0.507
Hg  0.830  0.630  0.964

(4)
For Nd2Ho4Tl, a structure optimized by DFT (PBE) gives the simulated powder X-ray diffraction pattern in this record (Cu Kα).

The 12 most intense peaks (2θ = 15–90°), by intensity:
d/Å, I/Imax
2.800, 100
2.740, 85
2.551, 62
2.791, 54
3.017, 43
2.456, 40
3.097, 31
1.768, 26
3.274, 23
2.904, 20
1.742, 20
2.300, 18

a = 6.548 Å, b = 6.290 Å, c = 10.673 Å
α = 90.00°, β = 90.00°, γ = 90.00°
Sites, in units of the cell vectors:
Nd  0.000  0.242  0.043
Nd  0.000  0.758  0.957
Nd  0.500  0.242  0.457
Nd  0.500  0.758  0.543
Ho  0.000  0.070  0.345
Ho  0.000  0.930  0.655
Ho  0.250  0.401  0.750
Ho  0.250  0.599  0.250
Ho  0.500  0.070  0.155
Ho  0.500  0.930  0.845
Ho  0.750  0.401  0.750
Ho  0.750  0.599  0.250
Tl  0.000  0.500  0.500
Tl  0.500  0.500  0.000

(5)
For BaSr5Ca4, a structure optimized by DFT (PBE) gives the simulated powder X-ray diffraction pattern in this record (Cu Kα).

The 12 most intense peaks (2θ = 15–90°), by intensity:
d/Å, I/Imax
3.354, 100
2.969, 89
3.759, 85
3.193, 46
3.258, 43
1.892, 39
2.948, 34
2.429, 29
3.579, 29
2.028, 26
1.949, 26
4.164, 19

a = 11.704 Å, b = 13.757 Å, c = 6.566 Å
α = 90.00°, β = 90.00°, γ = 90.00°
Sites, in units of the cell vectors:
Ba  0.250  0.250  0.176
Ba  0.750  0.750  0.824
Sr  0.073  0.096  0.672
Sr  0.073  0.404  0.672
Sr  0.250  0.750  0.415
Sr  0.427  0.096  0.672
Sr  0.427  0.404  0.672
Sr  0.573  0.596  0.328
Sr  0.573  0.904  0.328
Sr  0.750  0.250  0.585
Sr  0.927  0.596  0.328
Sr  0.927  0.904  0.328
Ca  0.080  0.750  0.885
Ca  0.250  0.524  0.120
Ca  0.250  0.976  0.120
Ca  0.420  0.750  0.885
Ca  0.580  0.250  0.115
Ca  0.750  0.024  0.880
Ca  0.750  0.476  0.880
Ca  0.920  0.250  0.115

(6)
For KPuAu2O8, a structure optimized by DFT (PBE) gives the simulated powder X-ray diffraction pattern in this record (Cu Kα).

The 12 most intense peaks (2θ = 15–90°), by intensity:
d/Å, I/Imax
3.662, 100
2.971, 98
1.952, 73
5.166, 48
2.589, 28
1.335, 20
1.626, 20
1.559, 19
1.638, 18
1.831, 17
2.985, 16
1.187, 15

a = 6.323 Å, b = 6.323 Å, c = 6.323 Å
α = 109.22°, β = 109.22°, γ = 109.97°
Sites, in units of the cell vectors:
K  0.000  0.000  0.000
Pu  0.250  0.750  0.500
Au  0.500  0.500  0.000
Au  0.750  0.250  0.500
O  0.308  0.069  0.761
O  0.308  0.547  0.239
O  0.377  0.035  0.343
O  0.453  0.692  0.761
O  0.692  0.035  0.657
O  0.931  0.692  0.239
O  0.965  0.308  0.343
O  0.965  0.623  0.657

(7)
For TlBi6S8, a structure optimized by DFT (PBE) gives the simulated powder X-ray diffraction pattern in this record (Cu Kα).

The 12 most intense peaks (2θ = 15–90°), by intensity:
d/Å, I/Imax
3.814, 100
2.481, 92
3.387, 64
2.858, 52
2.665, 50
4.256, 44
2.494, 43
1.762, 31
1.746, 30
4.884, 29
3.054, 29
2.267, 27

a = 8.234 Å, b = 8.234 Å, c = 8.234 Å
α = 95.70°, β = 95.70°, γ = 95.70°
Sites, in units of the cell vectors:
Tl  0.000  0.000  0.000
Bi  0.204  0.394  0.550
Bi  0.394  0.550  0.204
Bi  0.450  0.796  0.606
Bi  0.550  0.204  0.394
Bi  0.606  0.450  0.796
Bi  0.796  0.606  0.450
S  0.131  0.668  0.419
S  0.241  0.241  0.241
S  0.332  0.581  0.869
S  0.419  0.131  0.668
S  0.581  0.869  0.332
S  0.668  0.419  0.131
S  0.759  0.759  0.759
S  0.869  0.332  0.581

(8)
For BiAsPtO5, a structure optimized by DFT (PBE) gives the simulated powder X-ray diffraction pattern in this record (Cu Kα).

The 12 most intense peaks (2θ = 15–90°), by intensity:
d/Å, I/Imax
3.092, 100
3.773, 77
2.798, 71
3.033, 56
2.521, 42
1.927, 25
2.815, 25
2.044, 24
1.792, 23
1.719, 23
5.106, 23
1.702, 20

a = 5.730 Å, b = 5.730 Å, c = 8.713 Å
α = 101.28°, β = 101.28°, γ = 111.30°
Sites, in units of the cell vectors:
Bi  0.000  0.000  0.000
Bi  0.000  0.000  0.500
As  0.315  0.685  0.750
As  0.685  0.315  0.250
Pt  0.302  0.698  0.250
Pt  0.698  0.302  0.750
O  0.021  0.642  0.804
O  0.096  0.904  0.250
O  0.283  0.445  0.586
O  0.358  0.979  0.696
O  0.445  0.283  0.086
O  0.555  0.717  0.914
O  0.642  0.021  0.304
O  0.717  0.555  0.414
O  0.904  0.096  0.750
O  0.979  0.358  0.196

(9)
For LaDy2HoEr, a structure optimized by DFT (PBE) gives the simulated powder X-ray diffraction pattern in this record (Cu Kα).

The 12 most intense peaks (2θ = 15–90°), by intensity:
d/Å, I/Imax
2.741, 100
1.985, 66
2.878, 61
2.510, 55
3.059, 54
3.397, 46
2.265, 41
1.418, 33
3.189, 33
2.726, 33
5.755, 24
1.595, 19

a = 7.130 Å, b = 7.130 Å, c = 7.223 Å
α = 90.00°, β = 90.00°, γ = 107.64°
Sites, in units of the cell vectors:
La  0.233  0.767  0.750
La  0.767  0.233  0.250
Dy  0.191  0.191  0.000
Dy  0.191  0.191  0.500
Dy  0.809  0.809  0.000
Dy  0.809  0.809  0.500
Ho  0.498  0.502  0.250
Ho  0.502  0.498  0.750
Er  0.219  0.781  0.250
Er  0.781  0.219  0.750

(10)
For LaTmPt, a structure optimized by DFT (PBE) gives the simulated powder X-ray diffraction pattern in this record (Cu Kα).

The 12 most intense peaks (2θ = 15–90°), by intensity:
d/Å, I/Imax
2.502, 100
2.787, 96
2.851, 48
4.011, 48
3.110, 47
2.425, 38
2.444, 38
2.242, 37
2.345, 36
2.874, 33
3.036, 30
1.854, 28

a = 7.021 Å, b = 13.419 Å, c = 7.135 Å
α = 90.00°, β = 90.00°, γ = 90.00°
Sites, in units of the cell vectors:
La  0.235  0.194  0.097
La  0.235  0.306  0.597
La  0.265  0.694  0.097
La  0.265  0.806  0.597
La  0.735  0.194  0.403
La  0.735  0.306  0.903
La  0.765  0.694  0.403
La  0.765  0.806  0.903
Tm  0.001  0.530  0.754
Tm  0.001  0.970  0.254
Tm  0.499  0.030  0.754
Tm  0.499  0.470  0.254
Tm  0.501  0.530  0.746
Tm  0.501  0.970  0.246
Tm  0.999  0.030  0.746
Tm  0.999  0.470  0.246
Pt  0.243  0.597  0.460
Pt  0.243  0.903  0.960
Pt  0.257  0.097  0.460
Pt  0.257  0.403  0.960
Pt  0.743  0.597  0.040
Pt  0.743  0.903  0.540
Pt  0.757  0.097  0.040
Pt  0.757  0.403  0.540

(11)
For KVAg2Cl6, a structure optimized by DFT (PBE) gives the simulated powder X-ray diffraction pattern in this record (Cu Kα).

The 12 most intense peaks (2θ = 15–90°), by intensity:
d/Å, I/Imax
3.672, 100
2.309, 80
5.050, 74
3.478, 64
2.008, 55
3.030, 52
2.043, 51
2.525, 43
1.771, 32
2.211, 28
2.864, 17
1.572, 16

a = 6.951 Å, b = 6.957 Å, c = 7.362 Å
α = 90.03°, β = 118.13°, γ = 119.95°
Sites, in units of the cell vectors:
K  0.000  0.000  0.000
V  0.973  0.487  0.460
Ag  0.553  0.276  0.829
Ag  0.596  0.799  0.394
Cl  0.104  0.439  0.225
Cl  0.118  0.269  0.676
Cl  0.407  0.849  0.676
Cl  0.561  0.122  0.225
Cl  0.786  0.665  0.225
Cl  0.828  0.559  0.676

(12)
For ZnGaMoIr, a structure optimized by DFT (PBE) gives the simulated powder X-ray diffraction pattern in this record (Cu Kα).

The 12 most intense peaks (2θ = 15–90°), by intensity:
d/Å, I/Imax
2.116, 100
2.138, 72
2.163, 46
4.324, 43
2.443, 41
2.158, 33
2.457, 28
1.416, 23
1.180, 22
1.174, 18
1.196, 13
4.229, 13

a = 9.852 Å, b = 2.816 Å, c = 4.914 Å
α = 90.00°, β = 118.55°, γ = 90.00°
Sites, in units of the cell vectors:
Zn  0.000  0.000  0.000
Zn  0.500  0.500  0.000
Ga  0.013  0.500  0.508
Ga  0.513  0.000  0.508
Mo  0.259  0.500  0.409
Mo  0.759  0.000  0.409
Ir  0.251  0.000  0.911
Ir  0.751  0.500  0.911